Simulated PXRD pattern of NaIn3 for Cu Ka, from a cell relaxed with PBE.
No peak broadening, texture or thermal motion is included.

Principal peaks in the range 10 to 80 degrees two-theta, low angle first:
22.21 deg, I 17; 30.98 deg, I 23; 32.23 deg, I 28; 35.03 deg, I 100; 45.31 deg, I 16; 55.11 deg, I 17; 59.30 deg, I 21; 65.30 deg, I 20

Crystal structure
```
8
Lattice="6.666 0.000 0.000 -3.333 5.773 0.000 0.000 0.000 5.554" Properties=species:S:1:pos:R:3 pbc="T T T"
Na 0.000 3.849 1.389
Na 3.333 1.924 4.166
In 0.000 1.879 4.166
In -1.706 4.834 4.166
In 1.627 0.940 1.389
In 1.706 4.834 4.166
In 5.039 0.940 1.389
In 3.333 3.894 1.389
```

Simulated PXRD pattern of Na3In for Cu Ka, from a cell relaxed with PBE.
No peak broadening, texture or thermal motion is included.

Principal peaks in the range 10 to 80 degrees two-theta, low angle first:
19.69 deg, I 54; 22.78 deg, I 29; 32.43 deg, I 100; 38.23 deg, I 30; 46.52 deg, I 18; 50.98 deg, I 13; 57.85 deg, I 35; 77.27 deg, I 14

Crystal structure
```
4
Lattice="0.000 3.904 3.904 3.904 0.000 3.904 3.904 3.904 0.000" Properties=species:S:1:pos:R:3 pbc="T T T"
Na 0.000 0.000 0.000
Na 1.952 1.952 1.952
Na 5.857 5.857 5.857
In 3.904 3.904 3.904
```

Simulated PXRD pattern of Na3In for Cu Ka, from a cell relaxed with PBE.
No peak broadening, texture or thermal motion is included.

Principal peaks in the range 10 to 80 degrees two-theta, low angle first:
17.69 deg, I 24; 20.18 deg, I 70; 31.40 deg, I 100; 32.44 deg, I 21; 36.70 deg, I 33; 42.23 deg, I 21; 52.23 deg, I 22; 62.80 deg, I 31

Crystal structure
```
4
Lattice="-2.449 2.449 5.012 2.449 -2.449 5.012 2.449 2.449 -5.012" Properties=species:S:1:pos:R:3 pbc="T T T"
Na 0.000 0.000 0.000
Na 2.449 0.000 2.506
Na 0.000 2.449 2.506
In 0.000 0.000 5.012
```